(1)
Diffraction record for TlIrW2. The X-ray powder pattern is computed, not measured: it uses a crystal structure in Alexandria, relaxed with PBE and copper Kα.

Most intense lines, 15° ≤ 2θ ≤ 90°, sorted by position:
two_theta	d/Å	I_rel
36.38	2.470	100.0
39.29	2.293	90.0
42.73	2.116	64.3
46.45	1.955	28.2
64.94	1.436	37.7
72.22	1.308	20.1
77.77	1.228	22.7
79.45	1.206	10.8
81.26	1.184	11.3
84.51	1.147	10.4

```
TlIrW2
1.0
2.8309 0.0000 0.0000
0.0000 3.9102 0.0000
0.0000 0.0000 6.3706
Tl Ir W
1 1 2
Direct
0.0000 0.0000 0.0000 Tl
0.5000 0.5000 0.7141 Ir
0.0000 0.0000 0.5187 W
0.5000 0.5000 0.2824 W
```

(2)
Diffraction record for TlIr2W. The X-ray powder pattern is computed, not measured: it uses a crystal structure in Alexandria, relaxed with PBE and copper Kα.

Most intense lines, 15° ≤ 2θ ≤ 90°, sorted by position:
two_theta	d/Å	I_rel
37.79	2.381	49.5
38.22	2.355	100.0
38.67	2.329	50.0
44.31	2.044	70.9
44.65	2.030	26.0
64.12	1.452	16.6
64.47	1.445	23.5
65.32	1.429	20.9
77.18	1.236	15.9
78.03	1.225	20.6

```
TlIr2W
1.0
2.8907 0.0000 0.0000
0.0000 2.8915 0.0000
-0.1900 0.0000 8.1181
Tl Ir W
1 2 1
Direct
0.0000 0.0000 0.0000 Tl
0.4847 0.5000 0.2801 Ir
0.5153 0.5000 0.7199 Ir
0.0000 0.0000 0.5000 W
```

(3)
Diffraction record for Y7Tl2Ir2. The X-ray powder pattern is computed, not measured: it uses a crystal structure in Alexandria, relaxed with PBE and copper Kα.

Most intense lines, 15° ≤ 2θ ≤ 90°, sorted by position:
two_theta	d/Å	I_rel
20.42	4.349	82.8
24.92	3.572	68.8
28.49	3.132	22.5
32.59	2.748	51.3
33.55	2.671	18.7
36.86	2.439	42.4
37.15	2.420	100.0
41.46	2.178	38.6
43.01	2.103	29.9
51.36	1.779	17.6

```
Y7Tl2Ir2
1.0
4.1306 -5.4951 0.0000
4.1306 5.4951 0.0000
0.0000 0.0000 7.1165
Y Tl Ir
7 2 2
Direct
0.0000 0.0000 0.0000 Y
0.0000 0.5000 0.2468 Y
0.0000 0.5000 0.7532 Y
0.5000 0.0000 0.2468 Y
0.5000 0.0000 0.7532 Y
0.5000 0.5000 0.2393 Y
0.5000 0.5000 0.7607 Y
0.1820 0.1820 0.5000 Tl
0.8180 0.8180 0.5000 Tl
0.2869 0.7131 0.0000 Ir
0.7131 0.2869 0.0000 Ir
```

(4)
Diffraction record for Y4TlIr2. The X-ray powder pattern is computed, not measured: it uses a crystal structure in Alexandria, relaxed with PBE and copper Kα.

Most intense lines, 15° ≤ 2θ ≤ 90°, sorted by position:
two_theta	d/Å	I_rel
24.49	3.635	39.3
24.75	3.598	18.5
31.70	2.823	100.0
32.28	2.773	47.3
37.72	2.385	34.2
37.90	2.374	32.3
38.19	2.356	18.9
46.19	1.965	15.0
48.17	1.889	20.2
52.23	1.751	15.1

```
Y4TlIr2
1.0
-4.4683 4.4683 4.3763
4.4683 -4.4683 4.3763
4.4683 4.4683 -4.3763
Y Tl Ir
8 2 4
Direct
0.0038 0.4028 0.2553 Y
0.1476 0.7485 0.7447 Y
0.1528 0.2538 0.7553 Y
0.2515 0.9962 0.3991 Y
0.4985 0.3976 0.2447 Y
0.5972 0.8524 0.6009 Y
0.6024 0.8472 0.1009 Y
0.7462 0.5015 0.8991 Y
0.0000 0.0000 0.0000 Tl
0.7500 0.2500 0.5000 Tl
0.2392 0.6250 0.1142 Ir
0.3750 0.4892 0.6142 Ir
0.5108 0.1250 0.8858 Ir
0.8750 0.7608 0.3858 Ir
```

Please write out number 2 again, unchanged.
Diffraction record for TlIr2W. The X-ray powder pattern is computed, not measured: it uses a crystal structure in Alexandria, relaxed with PBE and copper Kα.

Most intense lines, 15° ≤ 2θ ≤ 90°, sorted by position:
two_theta	d/Å	I_rel
37.79	2.381	49.5
38.22	2.355	100.0
38.67	2.329	50.0
44.31	2.044	70.9
44.65	2.030	26.0
64.12	1.452	16.6
64.47	1.445	23.5
65.32	1.429	20.9
77.18	1.236	15.9
78.03	1.225	20.6

```
TlIr2W
1.0
2.8907 0.0000 0.0000
0.0000 2.8915 0.0000
-0.1900 0.0000 8.1181
Tl Ir W
1 2 1
Direct
0.0000 0.0000 0.0000 Tl
0.4847 0.5000 0.2801 Ir
0.5153 0.5000 0.7199 Ir
0.0000 0.0000 0.5000 W
```